No. 1
Theoretical powder diffractogram of YHF for λ = 1.5418 Å (Cu Kα), from DFT lattice parameters and positions (PBE).
Peak positions follow from Bragg's law for the DFT cell and can differ from measured ones.

The 10 most intense peaks (10° ≤ 2θ ≤ 90°), by angle:
index  d [Å]  Rel. int.
1 0 1  3.466  100
0 0 4  2.923  19
1 0 3  2.656  90
1 1 0  2.566  31
1 1 4  1.928  59
2 0 0  1.814  27
2 1 1  1.607  20
1 0 7  1.517  20
2 1 3  1.498  30
2 1 7  1.164  16

```
data_YHF
_chemical_formula_sum 'Y4 H4 F4'
_symmetry_space_group_name_H-M 'I 4/m m m'
_symmetry_Int_Tables_number 139
_symmetry_space_group_name_Hall '-I 4 2'
_cell_length_a 3.6286
_cell_length_b 3.6286
_cell_length_c 11.6926
_cell_angle_alpha 90.00
_cell_angle_beta 90.00
_cell_angle_gamma 90.00
loop_
_atom_site_label
_atom_site_type_symbol
_atom_site_fract_x
_atom_site_fract_y
_atom_site_fract_z
_atom_site_occupancy
Y1 Y 0.0000 0.0000 0.1396 1
H1 H 0.0000 0.5000 0.2500 1
F1 F 0.0000 0.5000 0.0000 1
```

No. 2
Theoretical powder diffractogram of CuBi2Pd9 for λ = 1.5418 Å (Cu Kα), from DFT lattice parameters and positions (PBE).
Peak positions follow from Bragg's law for the DFT cell and can differ from measured ones.

The 10 most intense peaks (10° ≤ 2θ ≤ 90°), by angle:
index  d [Å]  Rel. int.
1 0 2  3.380  5
1 1 2  2.604  5
1 1 3  2.344  100
2 0 0  2.042  35
0 0 6  2.007  14
2 2 0  1.444  11
2 0 6  1.431  18
3 1 3  1.229  25
1 1 9  1.214  8
2 2 6  1.172  9

```
data_CuBi2Pd9
_chemical_formula_sum 'Cu1 Bi2 Pd9'
_symmetry_space_group_name_H-M 'P 4/m m m'
_symmetry_Int_Tables_number 123
_symmetry_space_group_name_Hall '-P 4 2'
_cell_length_a 4.0840
_cell_length_b 4.0840
_cell_length_c 12.0440
_cell_angle_alpha 90.00
_cell_angle_beta 90.00
_cell_angle_gamma 90.00
loop_
_atom_site_label
_atom_site_type_symbol
_atom_site_fract_x
_atom_site_fract_y
_atom_site_fract_z
_atom_site_occupancy
Cu1 Cu 0.0000 0.0000 0.0000 1
Bi1 Bi 0.0000 0.0000 0.3183 1
Pd1 Pd 0.0000 0.5000 0.1524 1
Pd2 Pd 0.0000 0.5000 0.5000 1
Pd3 Pd 0.5000 0.5000 0.0000 1
Pd4 Pd 0.5000 0.5000 0.3318 1
```

No. 3
Theoretical powder diffractogram of ErCu2Ni9 for λ = 1.5418 Å (Cu Kα), from DFT lattice parameters and positions (PBE).
Peak positions follow from Bragg's law for the DFT cell and can differ from measured ones.

The 10 most intense peaks (10° ≤ 2θ ≤ 90°), by angle:
index  d [Å]  Rel. int.
3 1 0  2.524  21
2 2 1  2.419  34
3 1 1  2.223  100
2 0 2  2.024  42
3 2 1  2.002  32
2 1 2  1.962  57
4 1 0  1.936  42
4 2 0  1.784  17
3 1 3  1.330  19
5 1 2  1.302  18

```
data_ErCu2Ni9
_chemical_formula_sum 'Er2 Cu4 Ni18'
_symmetry_space_group_name_H-M 'P 4/m b m'
_symmetry_Int_Tables_number 127
_symmetry_space_group_name_Hall '-P 4 2ab'
_cell_length_a 7.9804
_cell_length_b 7.9804
_cell_length_c 4.6973
_cell_angle_alpha 90.00
_cell_angle_beta 90.00
_cell_angle_gamma 90.00
loop_
_atom_site_label
_atom_site_type_symbol
_atom_site_fract_x
_atom_site_fract_y
_atom_site_fract_z
_atom_site_occupancy
Er1 Er 0.0000 0.0000 0.0000 1
Cu1 Cu 0.1150 0.3850 0.0000 1
Ni1 Ni 0.0000 0.5000 0.5000 1
Ni2 Ni 0.0637 0.2096 0.5000 1
Ni3 Ni 0.1792 0.6792 0.2393 1
```

No. 4
Theoretical powder diffractogram of Y7Er2Cd2 for λ = 1.5418 Å (Cu Kα), from DFT lattice parameters and positions (PBE).
Peak positions follow from Bragg's law for the DFT cell and can differ from measured ones.

The 10 most intense peaks (10° ≤ 2θ ≤ 90°), by angle:
index  d [Å]  Rel. int.
1 3 0  3.026  41
2 2 -2  2.834  77
3 1 -1  2.739  84
1 3 1  2.717  100
1 1 -3  2.706  44
2 2 1  2.671  63
0 0 3  2.651  45
1 3 -2  2.570  72
2 0 2  2.448  32
3 5 -1  1.615  29

```
data_Y7Er2Cd2
_chemical_formula_sum 'Y14 Er4 Cd4'
_symmetry_space_group_name_H-M 'C 1 2/m 1'
_symmetry_Int_Tables_number 12
_cell_length_a 8.5571
_cell_length_b 9.7959
_cell_length_c 8.4463
_cell_angle_alpha 90.00
_cell_angle_beta 109.68
_cell_angle_gamma 90.00
loop_
_symmetry_equiv_pos_as_xyz
'x,y,z'
'-x,-y,-z'
'-x,y,-z'
'x,-y,z'
'x+1/2,y+1/2,z'
'-x+1/2,-y+1/2,-z'
'-x+1/2,y+1/2,-z'
'x+1/2,-y+1/2,z'
loop_
_atom_site_label
_atom_site_type_symbol
_atom_site_fract_x
_atom_site_fract_y
_atom_site_fract_z
_atom_site_occupancy
Y1 Y 0.0000 0.0000 0.0000 1
Y2 Y 0.1418 0.0000 0.4184 1
Y3 Y 0.1960 0.3223 0.1735 1
Er1 Er 0.0000 0.3173 0.5000 1
Cd1 Cd 0.1192 0.5000 0.8225 1
```

No. 5
Theoretical powder diffractogram of Sr4SbS2 for λ = 1.5418 Å (Cu Kα), from DFT lattice parameters and positions (PBE).
Peak positions follow from Bragg's law for the DFT cell and can differ from measured ones.

The 10 most intense peaks (10° ≤ 2θ ≤ 90°), by angle:
index  d [Å]  Rel. int.
0 2 4  3.244  70
1 1 3  3.207  43
1 3 1  3.176  100
1 3 2  2.971  49
1 1 5  2.408  33
2 0 0  2.238  28
0 6 3  2.130  17
2 2 4  1.842  29
1 3 7  1.754  16
1 9 4  1.379  17

```
data_Sr4SbS2
_chemical_formula_sum 'Sr16 Sb4 S8'
_symmetry_space_group_name_H-M 'C m c m'
_symmetry_Int_Tables_number 63
_symmetry_space_group_name_Hall '-C 2c 2'
_cell_length_a 4.4755
_cell_length_b 14.2189
_cell_length_c 14.5797
_cell_angle_alpha 90.00
_cell_angle_beta 90.00
_cell_angle_gamma 90.00
loop_
_atom_site_label
_atom_site_type_symbol
_atom_site_fract_x
_atom_site_fract_y
_atom_site_fract_z
_atom_site_occupancy
Sr1 Sr 0.0000 0.0000 0.0000 1
Sr2 Sr 0.0000 0.2680 0.1203 1
Sr3 Sr 0.0000 0.4413 0.7500 1
Sb1 Sb 0.0000 0.1130 0.7500 1
S1 S 0.0000 0.3673 0.5561 1
```

No. 6
Theoretical powder diffractogram of Na2CaI2Cl2 for λ = 1.5418 Å (Cu Kα), from DFT lattice parameters and positions (PBE).
Peak positions follow from Bragg's law for the DFT cell and can differ from measured ones.

The 10 most intense peaks (10° ≤ 2θ ≤ 90°), by angle:
index  d [Å]  Rel. int.
0 0 1  7.266  43
0 2 1  3.690  57
1 0 1  3.625  100
0 2 0  3.493  41
-1 1 1  3.312  40
1 1 -1  3.228  46
1 2 1  3.039  46
0 1 -2  2.844  46
-1 2 1  2.581  46
1 -2 1  2.192  47

```
data_Na2CaI2Cl2
_chemical_formula_sum 'Na2 Ca1 I2 Cl2'
_symmetry_space_group_name_H-M 'P -1'
_symmetry_Int_Tables_number 2
_cell_length_a 4.2997
_cell_length_b 7.5590
_cell_length_c 7.7533
_cell_angle_alpha 69.63
_cell_angle_beta 87.93
_cell_angle_gamma 80.27
loop_
_symmetry_equiv_pos_as_xyz
'x,y,z'
'-x,-y,-z'
loop_
_atom_site_label
_atom_site_type_symbol
_atom_site_fract_x
_atom_site_fract_y
_atom_site_fract_z
_atom_site_occupancy
Na1 Na 0.1073 0.0705 0.2138 1
Ca1 Ca 0.5000 0.5000 0.5000 1
I1 I 0.4190 0.7267 0.0844 1
Cl1 Cl 0.0687 0.2590 0.4730 1
```

No. 7
Theoretical powder diffractogram of SmSi2Os4 for λ = 1.5418 Å (Cu Kα), from DFT lattice parameters and positions (PBE).
Peak positions follow from Bragg's law for the DFT cell and can differ from measured ones.

The 10 most intense peaks (10° ≤ 2θ ≤ 90°), by angle:
index  d [Å]  Rel. int.
0 2 0  7.096  60
1 3 1  2.424  100
0 6 0  2.365  12
2 0 0  2.001  48
0 0 2  1.992  18
1 7 1  1.647  8
2 0 2  1.411  12
3 3 1  1.221  12
1 3 3  1.218  12
0 10 2  1.155  9

```
data_SmSi2Os4
_chemical_formula_sum 'Sm2 Si4 Os8'
_symmetry_space_group_name_H-M 'C m m m'
_symmetry_Int_Tables_number 65
_symmetry_space_group_name_Hall '-C 2 2'
_cell_length_a 3.9988
_cell_length_b 14.1924
_cell_length_c 3.9831
_cell_angle_alpha 90.00
_cell_angle_beta 90.00
_cell_angle_gamma 90.00
loop_
_atom_site_label
_atom_site_type_symbol
_atom_site_fract_x
_atom_site_fract_y
_atom_site_fract_z
_atom_site_occupancy
Sm1 Sm 0.0000 0.0000 0.0000 1
Si1 Si 0.0000 0.4150 0.5000 1
Os1 Os 0.0000 0.1870 0.5000 1
Os2 Os 0.0000 0.3102 0.0000 1
```

No. 8
Theoretical powder diffractogram of Ag3B2F8 for λ = 1.5418 Å (Cu Kα), from DFT lattice parameters and positions (PBE).
Peak positions follow from Bragg's law for the DFT cell and can differ from measured ones.

The 10 most intense peaks (10° ≤ 2θ ≤ 90°), by angle:
index  d [Å]  Rel. int.
0 2 0  6.766  49
0 2 1  5.435  100
1 3 1  3.366  58
0 2 3  2.773  46
2 2 1  2.652  87
0 0 4  2.281  37
2 4 0  2.261  64
2 2 3  2.048  38
0 6 2  2.022  39
2 4 4  1.605  39

```
data_Ag3B2F8
_chemical_formula_sum 'Ag12 B8 F32'
_symmetry_space_group_name_H-M 'C m c e'
_symmetry_Int_Tables_number 64
_symmetry_space_group_name_Hall '-C 2ac 2'
_cell_length_a 6.0769
_cell_length_b 13.5330
_cell_length_c 9.1220
_cell_angle_alpha 90.00
_cell_angle_beta 90.00
_cell_angle_gamma 90.00
loop_
_atom_site_label
_atom_site_type_symbol
_atom_site_fract_x
_atom_site_fract_y
_atom_site_fract_z
_atom_site_occupancy
Ag1 Ag 0.0000 0.0000 0.0000 1
Ag2 Ag 0.2500 0.1075 0.2500 1
B1 B 0.0000 0.1475 0.6115 1
F1 F 0.0000 0.0641 0.7063 1
F2 F 0.0000 0.2354 0.6952 1
F3 F 0.1911 0.1439 0.5216 1
```

No. 9
Theoretical powder diffractogram of Mg3Ga2Co3B for λ = 1.5418 Å (Cu Kα), from DFT lattice parameters and positions (PBE).
Peak positions follow from Bragg's law for the DFT cell and can differ from measured ones.

The 10 most intense peaks (10° ≤ 2θ ≤ 90°), by angle:
index  d [Å]  Rel. int.
1 1 0  3.326  23
0 0 1  3.123  53
2 0 0  2.880  22
1 1 1  2.277  100
2 1 0  2.177  83
2 0 1  2.117  42
3 0 0  1.920  33
2 1 1  1.786  75
2 1 2  1.269  26
4 1 1  1.166  34

```
data_Mg3Ga2Co3B
_chemical_formula_sum 'Mg3 Ga2 Co3 B1'
_symmetry_space_group_name_H-M 'P -6 2 m'
_symmetry_Int_Tables_number 189
_symmetry_space_group_name_Hall 'P -6 -2'
_cell_length_a 6.6515
_cell_length_b 6.6515
_cell_length_c 3.1232
_cell_angle_alpha 90.00
_cell_angle_beta 90.00
_cell_angle_gamma 120.00
loop_
_atom_site_label
_atom_site_type_symbol
_atom_site_fract_x
_atom_site_fract_y
_atom_site_fract_z
_atom_site_occupancy
Mg1 Mg 0.0000 0.6345 0.0000 1
Ga1 Ga 0.3333 0.6667 0.5000 1
Co1 Co 0.0000 0.2261 0.5000 1
B1 B 0.0000 0.0000 0.0000 1
```

No. 10
Theoretical powder diffractogram of Na5B7C3 for λ = 1.5418 Å (Cu Kα), from DFT lattice parameters and positions (PBE).
Peak positions follow from Bragg's law for the DFT cell and can differ from measured ones.

The 10 most intense peaks (10° ≤ 2θ ≤ 90°), by angle:
index  d [Å]  Rel. int.
1 0 0  2.506  19
1 0 10  2.162  100
0 0 20  2.136  24
1 0 20  1.626  10
1 1 0  1.447  18
1 1 10  1.371  2
2 0 0  1.253  2
1 0 30  1.238  11
2 0 10  1.203  11
1 1 20  1.198  16

```
data_Na5B7C3
_chemical_formula_sum 'Na10 B14 C6'
_symmetry_space_group_name_H-M 'P -6 m 2'
_symmetry_Int_Tables_number 187
_symmetry_space_group_name_Hall 'P -6 2'
_cell_length_a 2.8942
_cell_length_b 2.8942
_cell_length_c 42.7168
_cell_angle_alpha 90.00
_cell_angle_beta 90.00
_cell_angle_gamma 120.00
loop_
_atom_site_label
_atom_site_type_symbol
_atom_site_fract_x
_atom_site_fract_y
_atom_site_fract_z
_atom_site_occupancy
Na1 Na 0.0000 0.0000 0.0508 1
Na2 Na 0.0000 0.0000 0.1497 1
Na3 Na 0.0000 0.0000 0.2480 1
Na4 Na 0.0000 0.0000 0.3467 1
Na5 Na 0.0000 0.0000 0.4486 1
B1 B 0.3333 0.6667 0.0000 1
B2 B 0.3333 0.6667 0.1006 1
B3 B 0.3333 0.6667 0.2972 1
B4 B 0.3333 0.6667 0.3976 1
B5 B 0.3333 0.6667 0.5000 1
B6 B 0.6667 0.3333 0.0000 1
B7 B 0.6667 0.3333 0.1989 1
B8 B 0.6667 0.3333 0.3976 1
B9 B 0.6667 0.3333 0.5000 1
C1 C 0.3333 0.6667 0.1989 1
C2 C 0.6667 0.3333 0.1007 1
C3 C 0.6667 0.3333 0.2971 1
```

No. 11
Theoretical powder diffractogram of BiAuO4 for λ = 1.5418 Å (Cu Kα), from DFT lattice parameters and positions (PBE).
Peak positions follow from Bragg's law for the DFT cell and can differ from measured ones.

The 10 most intense peaks (10° ≤ 2θ ≤ 90°), by angle:
index  d [Å]  Rel. int.
0 1 1  3.870  35
1 1 1  3.171  100
2 0 0  2.766  20
1 0 2  2.633  30
2 1 1  2.251  15
2 2 0  1.869  19
0 1 3  1.857  16
1 2 2  1.827  28
3 1 1  1.665  17
2 1 3  1.542  17

```
data_BiAuO4
_chemical_formula_sum 'Bi2 Au2 O8'
_symmetry_space_group_name_H-M 'P n c 2'
_symmetry_Int_Tables_number 30
_cell_length_a 5.5329
_cell_length_b 5.0716
_cell_length_c 5.9876
_cell_angle_alpha 90.00
_cell_angle_beta 90.00
_cell_angle_gamma 90.00
loop_
_symmetry_equiv_pos_as_xyz
'x,y,z'
'-x,-y,z'
'-x,y+1/2,z+1/2'
'x,-y+1/2,z+1/2'
loop_
_atom_site_label
_atom_site_type_symbol
_atom_site_fract_x
_atom_site_fract_y
_atom_site_fract_z
_atom_site_occupancy
Bi1 Bi 0.0000 0.0000 0.0000 1
Au1 Au 0.5000 0.0000 0.3225 1
O1 O 0.1828 0.2043 0.2876 1
O2 O 0.3346 0.7446 0.5721 1
```

No. 12
Theoretical powder diffractogram of Tb2PrZn9 for λ = 1.5418 Å (Cu Kα), from DFT lattice parameters and positions (PBE).
Peak positions follow from Bragg's law for the DFT cell and can differ from measured ones.

The 10 most intense peaks (10° ≤ 2θ ≤ 90°), by angle:
index  d [Å]  Rel. int.
1 0 7  2.923  37
1 1 0  2.746  49
0 1 8  2.679  34
0 2 1  2.368  38
1 1 6  2.318  100
0 0 12  2.162  31
2 1 7  1.617  14
3 0 6  1.488  24
2 0 14  1.462  22
2 2 0  1.373  24

```
data_Tb2PrZn9
_chemical_formula_sum 'Tb6 Pr3 Zn27'
_symmetry_space_group_name_H-M 'R -3 m'
_symmetry_Int_Tables_number 166
_symmetry_space_group_name_Hall '-R 3 2"'
_cell_length_a 5.4919
_cell_length_b 5.4919
_cell_length_c 25.9358
_cell_angle_alpha 90.00
_cell_angle_beta 90.00
_cell_angle_gamma 120.00
loop_
_atom_site_label
_atom_site_type_symbol
_atom_site_fract_x
_atom_site_fract_y
_atom_site_fract_z
_atom_site_occupancy
Tb1 Tb 0.0000 0.0000 0.1408 1
Pr1 Pr 0.0000 0.0000 0.0000 1
Zn1 Zn 0.0000 0.0000 0.3351 1
Zn2 Zn 0.0000 0.0000 0.5000 1
Zn3 Zn 0.0062 0.5031 0.9170 1
```